# KHg11
Computed X-ray powder pattern, a wavelength of 1.5418 Å. Input: a GGA-PBE-relaxed structure.
Peak positions follow from Bragg's law for the DFT cell and can differ from measured ones.

Structural model:
```
KHg11
1.0
10.393 0.000 0.000
0.000 10.393 0.000
0.000 0.000 10.393
K Hg
3 33
Direct
0.000 0.000 0.500
0.000 0.500 0.000
0.500 0.000 0.000
0.000 0.345 0.345
0.000 0.345 0.655
0.000 0.655 0.345
0.000 0.655 0.655
0.153 0.153 0.153
0.153 0.153 0.847
0.153 0.847 0.153
0.153 0.847 0.847
0.267 0.267 0.500
0.267 0.500 0.267
0.267 0.500 0.733
0.267 0.733 0.500
0.345 0.000 0.345
0.345 0.000 0.655
0.345 0.345 0.000
0.345 0.655 0.000
0.500 0.267 0.267
0.500 0.267 0.733
0.500 0.500 0.500
0.500 0.733 0.267
0.500 0.733 0.733
0.655 0.000 0.345
0.655 0.000 0.655
0.655 0.345 0.000
0.655 0.655 0.000
0.733 0.267 0.500
0.733 0.500 0.267
0.733 0.500 0.733
0.733 0.733 0.500
0.847 0.153 0.153
0.847 0.153 0.847
0.847 0.847 0.153
0.847 0.847 0.847
```

Largest 8 diffraction maxima, by angle, 2θ from 15° to 90°:
d (Å)  2θ (°)  Rel. int.
3.133  28.49  34
3.000  29.78  42
2.882  31.03  26
2.521  35.62  100
2.450  36.69  63
2.268  39.75  33
1.623  56.72  36
1.414  66.06  32

=====

# KNdHg3S4
Computed X-ray powder pattern, a wavelength of 1.5418 Å. Input: a GGA-PBE-relaxed structure.
Peak positions follow from Bragg's law for the DFT cell and can differ from measured ones.

Structural model:
```
KNdHg3S4
1.0
6.756 0.000 0.000
0.000 6.756 0.000
0.000 0.000 6.756
K Nd Hg S
1 1 3 4
Direct
0.000 0.000 0.000
0.500 0.500 0.500
0.000 0.500 0.500
0.500 0.000 0.500
0.500 0.500 0.000
0.272 0.272 0.272
0.272 0.728 0.728
0.728 0.272 0.728
0.728 0.728 0.272
```

Largest 8 diffraction maxima, by angle, 2θ from 15° to 90°:
d (Å)  2θ (°)  Rel. int.
3.901  22.80  77
3.378  26.38  65
3.021  29.57  37
2.389  37.66  100
2.252  40.04  25
2.037  44.48  40
1.511  61.37  28
1.379  67.98  34

=====

# KNdHgTe3
Computed X-ray powder pattern, a wavelength of 1.5418 Å. Input: a GGA-PBE-relaxed structure.
Peak positions follow from Bragg's law for the DFT cell and can differ from measured ones.

Structural model:
```
KNdHgTe3
1.0
10.350 -2.279 0.000
10.350 2.279 0.000
-2.081 0.000 9.404
K Nd Hg Te
2 2 2 6
Direct
0.136 0.136 0.072
0.864 0.864 0.928
0.174 0.174 0.583
0.826 0.826 0.417
0.466 0.466 0.278
0.534 0.534 0.722
0.000 0.000 0.500
0.323 0.323 0.186
0.329 0.329 0.643
0.500 0.500 0.000
0.671 0.671 0.357
0.677 0.677 0.814
```

Largest 8 diffraction maxima, by angle, 2θ from 15° to 90°:
d (Å)  2θ (°)  Rel. int.
4.447  19.97  27
3.368  26.46  56
3.310  26.93  100
2.753  32.53  31
2.622  34.20  30
2.375  37.88  38
2.279  39.54  32
2.122  42.61  28

=====

# KNdHg3Te4
Computed X-ray powder pattern, a wavelength of 1.5418 Å. Input: a GGA-PBE-relaxed structure.
Peak positions follow from Bragg's law for the DFT cell and can differ from measured ones.

Structural model:
```
KNdHg3Te4
1.0
7.400 0.000 0.000
0.000 7.400 0.000
0.000 0.000 7.400
K Nd Hg Te
1 1 3 4
Direct
0.000 0.000 0.000
0.500 0.500 0.500
0.000 0.500 0.500
0.500 0.000 0.500
0.500 0.500 0.000
0.267 0.267 0.267
0.267 0.733 0.733
0.733 0.267 0.733
0.733 0.733 0.267
```

Largest 8 diffraction maxima, by angle, 2θ from 15° to 90°:
d (Å)  2θ (°)  Rel. int.
4.272  20.79  71
3.309  26.94  15
2.616  34.27  100
2.231  40.43  37
1.850  49.25  17
1.698  54.01  15
1.511  61.38  35
1.170  82.43  14

=====

# K2Ni2Hg3S8
Computed X-ray powder pattern, a wavelength of 1.5418 Å. Input: a GGA-PBE-relaxed structure.
Peak positions follow from Bragg's law for the DFT cell and can differ from measured ones.

Structural model:
```
K2Ni2Hg3S8
1.0
4.867 -3.897 0.000
4.867 3.897 0.000
-0.301 0.000 10.187
K Ni Hg S
2 2 3 8
Direct
0.215 0.215 0.270
0.785 0.785 0.730
0.269 0.247 0.765
0.753 0.731 0.235
0.347 0.653 0.000
0.629 0.371 0.500
0.830 0.170 0.000
0.326 0.578 0.764
0.340 0.120 0.953
0.402 0.141 0.573
0.422 0.674 0.236
0.740 0.072 0.219
0.859 0.598 0.427
0.880 0.660 0.047
0.928 0.260 0.781
```

Largest 8 diffraction maxima, by angle, 2θ from 15° to 90°:
d (Å)  2θ (°)  Rel. int.
5.181  17.12  55
3.640  24.46  100
3.467  25.69  58
3.041  29.37  58
2.929  30.52  52
2.899  30.85  79
2.547  35.23  54
2.432  36.96  49

=====

# KHg3OsO4
Computed X-ray powder pattern, a wavelength of 1.5418 Å. Input: a GGA-PBE-relaxed structure.
Peak positions follow from Bragg's law for the DFT cell and can differ from measured ones.

Structural model:
```
KHg3OsO4
1.0
5.787 0.000 0.000
0.000 5.787 0.000
0.000 0.000 5.787
K Hg Os O
1 3 1 4
Direct
0.000 0.000 0.000
0.000 0.500 0.500
0.500 0.000 0.500
0.500 0.500 0.000
0.500 0.500 0.500
0.284 0.284 0.284
0.284 0.716 0.716
0.716 0.284 0.716
0.716 0.716 0.284
```

Largest 8 diffraction maxima, by angle, 2θ from 15° to 90°:
d (Å)  2θ (°)  Rel. int.
5.787  15.31  100
3.341  26.68  61
2.893  30.91  87
2.588  34.66  49
2.046  44.27  87
1.929  47.11  29
1.745  52.44  29
1.294  73.14  33